Record 1
Diffraction record for Ce3Zn4Au2. The X-ray powder pattern is theoretical, not measured: it uses a cell relaxed with PBE and λ = 1.5418 Å (Cu Kα).
Lines closer than 0.1° are merged.

Cell and atoms:
Lattice parameters (Å, degrees): 5.773 5.773 8.728 114.79 114.79 47.62
Fractional coordinates of all 9 atoms:
1 Ce 0.000 0.000 0.000
2 Ce 0.327 0.327 0.337
3 Ce 0.673 0.673 0.663
4 Zn 0.036 0.036 0.376
5 Zn 0.269 0.269 0.940
6 Zn 0.731 0.731 0.060
7 Zn 0.964 0.964 0.624
8 Au 0.395 0.395 0.727
9 Au 0.605 0.605 0.273

Principal peaks in the range 2θ from 10° to 90°, by angle:
2theta  I/Imax
34.50  63.8
34.65  64.7
38.65  100.0
52.72  19.5
67.23  17.2
69.95  16.9

Record 2
Diffraction record for Ba3Y3TmSe8. The X-ray powder pattern is theoretical, not measured: it uses a cell relaxed with PBE and λ = 1.5418 Å (Cu Kα).
Lines closer than 0.1° are merged.

Cell and atoms:
Lattice parameters (Å, degrees): 8.967 8.967 8.967 55.99 55.99 55.99
Fractional coordinates of all 15 atoms:
1 Ba 0.000 0.500 0.500
2 Ba 0.500 0.000 0.500
3 Ba 0.500 0.500 0.000
4 Y 0.000 0.000 0.500
5 Y 0.000 0.500 0.000
6 Y 0.500 0.000 0.000
7 Tm 0.500 0.500 0.500
8 Se 0.238 0.238 0.238
9 Se 0.239 0.735 0.735
10 Se 0.265 0.265 0.761
11 Se 0.265 0.761 0.265
12 Se 0.735 0.239 0.735
13 Se 0.735 0.735 0.239
14 Se 0.761 0.265 0.265
15 Se 0.762 0.762 0.762

Principal peaks in the range 2θ from 10° to 90°, by angle:
2theta  I/Imax
12.76  14.9
29.15  100.0
40.39  35.4
42.98  35.8
52.77  18.5
70.33  15.6

Record 3
Diffraction record for Ta4AlC3. The X-ray powder pattern is theoretical, not measured: it uses a cell relaxed with PBE and λ = 1.5418 Å (Cu Kα).
Lines closer than 0.1° are merged.

Cell and atoms:
Lattice parameters (Å, degrees): 3.142 3.142 24.261 90.00 90.00 120.00
Fractional coordinates of all 16 atoms:
1 Ta 0.000 0.000 0.157
2 Ta 0.000 0.000 0.343
3 Ta 0.000 0.000 0.657
4 Ta 0.000 0.000 0.843
5 Ta 0.333 0.667 0.055
6 Ta 0.333 0.667 0.445
7 Ta 0.667 0.333 0.555
8 Ta 0.667 0.333 0.945
9 Al 0.333 0.667 0.250
10 Al 0.667 0.333 0.750
11 C 0.000 0.000 0.000
12 C 0.000 0.000 0.500
13 C 0.333 0.667 0.608
14 C 0.333 0.667 0.892
15 C 0.667 0.333 0.108
16 C 0.667 0.333 0.392

Principal peaks in the range 2θ from 10° to 90°, by angle:
2theta  I/Imax
33.76  50.8
36.19  47.5
37.06  43.3
37.91  62.8
39.94  100.0
58.78  46.9

Record 4
Diffraction record for Ga11AgSn. The X-ray powder pattern is theoretical, not measured: it uses a cell relaxed with PBE and λ = 1.5418 Å (Cu Kα).
Lines closer than 0.1° are merged.

Cell and atoms:
Lattice parameters (Å, degrees): 8.303 8.303 6.474 93.96 93.96 143.04
Fractional coordinates of all 13 atoms:
1 Ga 0.000 0.000 0.000
2 Ga 0.000 0.500 0.500
3 Ga 0.024 0.369 0.873
4 Ga 0.258 0.468 0.298
5 Ga 0.369 0.024 0.873
6 Ga 0.468 0.258 0.298
7 Ga 0.500 0.000 0.500
8 Ga 0.532 0.742 0.702
9 Ga 0.631 0.976 0.127
10 Ga 0.742 0.532 0.702
11 Ga 0.976 0.631 0.127
12 Ag 0.500 0.500 0.000
13 Sn 0.000 0.000 0.500

Principal peaks in the range 2θ from 10° to 90°, by angle:
2theta  I/Imax
29.99  49.0
34.77  81.2
36.46  99.9
36.81  71.0
37.09  46.5
41.81  100.0

Record 5
Diffraction record for CeNd8Dy5. The X-ray powder pattern is theoretical, not measured: it uses a cell relaxed with PBE and λ = 1.5418 Å (Cu Kα).
Lines closer than 0.1° are merged.

Cell and atoms:
Lattice parameters (Å, degrees): 8.564 8.564 9.149 121.78 121.78 81.01
Fractional coordinates of all 14 atoms:
1 Ce 0.000 0.000 0.000
2 Nd 0.113 0.507 0.236
3 Nd 0.145 0.722 0.723
4 Nd 0.278 0.855 0.277
5 Nd 0.341 0.347 0.948
6 Nd 0.493 0.887 0.764
7 Nd 0.653 0.659 0.052
8 Nd 0.714 0.150 0.716
9 Nd 0.850 0.286 0.284
10 Dy 0.330 0.336 0.544
11 Dy 0.504 0.122 0.244
12 Dy 0.664 0.670 0.456
13 Dy 0.878 0.496 0.756
14 Dy 0.994 0.006 0.500

Principal peaks in the range 2θ from 10° to 90°, by angle:
2theta  I/Imax
29.64  49.4
30.95  40.1
31.53  100.0
32.19  51.2
32.59  66.7
34.41  37.1

Record 6
Diffraction record for Y2ThNi6. The X-ray powder pattern is theoretical, not measured: it uses a cell relaxed with PBE and λ = 1.5418 Å (Cu Kα).
Lines closer than 0.1° are merged.

Cell and atoms:
Lattice parameters (Å, degrees): 7.591 7.591 7.591 152.44 125.77 61.90
Fractional coordinates of all 9 atoms:
1 Y 0.146 0.146 0.000
2 Y 0.854 0.854 0.000
3 Th 0.500 0.000 0.500
4 Ni 0.160 0.336 0.823
5 Ni 0.174 0.500 0.674
6 Ni 0.487 0.664 0.823
7 Ni 0.513 0.336 0.177
8 Ni 0.826 0.500 0.326
9 Ni 0.840 0.664 0.177

Principal peaks in the range 2θ from 10° to 90°, by angle:
2theta  I/Imax
31.10  95.5
36.60  100.0
39.46  86.1
41.62  40.1
44.48  71.7
69.52  38.0

Record 7
Diffraction record for Dy7Ru2Au2. The X-ray powder pattern is theoretical, not measured: it uses a cell relaxed with PBE and λ = 1.5418 Å (Cu Kα).
Lines closer than 0.1° are merged.

Cell and atoms:
Lattice parameters (Å, degrees): 6.635 6.635 7.015 90.00 90.00 108.27
Fractional coordinates of all 11 atoms:
1 Dy 0.000 0.000 0.000
2 Dy 0.000 0.500 0.260
3 Dy 0.000 0.500 0.740
4 Dy 0.500 0.000 0.260
5 Dy 0.500 0.000 0.740
6 Dy 0.500 0.500 0.249
7 Dy 0.500 0.500 0.751
8 Ru 0.295 0.705 0.000
9 Ru 0.705 0.295 0.000
10 Au 0.186 0.186 0.500
11 Au 0.814 0.814 0.500

Principal peaks in the range 2θ from 10° to 90°, by angle:
2theta  I/Imax
26.21  41.0
28.33  32.5
29.14  44.9
33.32  61.1
37.70  42.3
38.41  100.0

Record 8
Diffraction record for AlReH4. The X-ray powder pattern is theoretical, not measured: it uses a cell relaxed with PBE and λ = 1.5418 Å (Cu Kα).
Lines closer than 0.1° are merged.

Cell and atoms:
Lattice parameters (Å, degrees): 4.620 4.815 5.382 97.40 98.23 108.42
Fractional coordinates of all 12 atoms:
1 Al 0.000 0.000 0.000
2 Al 0.196 0.262 0.530
3 Re 0.609 0.203 0.262
4 Re 0.782 0.372 0.748
5 H 0.134 0.635 0.873
6 H 0.421 0.439 0.192
7 H 0.471 0.161 0.913
8 H 0.517 0.844 0.135
9 H 0.545 0.005 0.527
10 H 0.643 0.649 0.845
11 H 0.855 0.575 0.500
12 H 0.889 0.438 0.106

Principal peaks in the range 2θ from 10° to 90°, by angle:
2theta  I/Imax
19.78  100.0
20.66  62.1
23.27  61.0
23.60  30.8
40.71  22.2
42.18  39.7